Starting from a GGA+U-relaxed structure, the powder diffractogram of KErV2O6 was computed for Cu Kα (weighted mean of Kα1 and Kα2).

Crystal structure
```
KErV2O6
1.0
2.745 1.585 5.551
-2.745 1.585 5.551
0.000 -3.170 5.551
K Er V O
1 1 2 6
Direct
0.000 0.000 0.000 K
0.500 0.500 0.500 Er
0.322 0.322 0.322 V
0.678 0.678 0.678 V
0.080 0.508 0.621 O
0.379 0.920 0.492 O
0.492 0.379 0.920 O
0.508 0.621 0.080 O
0.621 0.080 0.508 O
0.920 0.492 0.379 O
```

Principal peaks in the range 10° ≤ 2θ ≤ 90°, sorted by position:
2θ = 19.41°, d 4.573, intensity 1000; 2θ = 21.52°, d 4.129, intensity 313; 2θ = 28.50°, d 3.132, intensity 337; 2θ = 32.62°, d 2.745, intensity 506; 2θ = 32.83°, d 2.728, intensity 227; 2θ = 39.41°, d 2.286, intensity 157; 2θ = 46.53°, d 1.952, intensity 537; 2θ = 46.95°, d 1.935, intensity 154; 2θ = 51.11°, d 1.787, intensity 134; 2θ = 68.12°, d 1.376, intensity 134